[1]
Starting from a crystal structure in the Materials Project, relaxed with GGA-PBE, the X-ray powder pattern of PmDy3 was calculated for copper Kα.

The 10 most intense peaks (10° ≤ 2θ ≤ 90°), by angle:
- 2.921 Å, intensity 100
- 2.529 Å, intensity 51
- 1.789 Å, intensity 36
- 1.525 Å, intensity 43
- 1.460 Å, intensity 12
- 1.265 Å, intensity 4
- 1.263 Å, intensity 2
- 1.161 Å, intensity 18
- 1.132 Å, intensity 11
- 1.130 Å, intensity 6

Crystal structure
Cell lengths 6.192, 6.192, 6.192 Å; angles 131.75, 131.75, 70.62 degrees
Fractional positions:
Pm  0.000  0.000  0.000
Dy  0.250  0.750  0.500
Dy  0.500  0.500  0.000
Dy  0.750  0.250  0.500

***

[2]
Starting from a crystal structure in the Materials Project, relaxed with GGA-PBE, the X-ray powder pattern of PmDy3 was calculated for copper Kα.

The 8 most intense peaks (10° ≤ 2θ ≤ 90°), by angle:
- 2.913 Å, intensity 100
- 2.522 Å, intensity 51
- 1.784 Å, intensity 36
- 1.521 Å, intensity 43
- 1.456 Å, intensity 12
- 1.261 Å, intensity 6
- 1.157 Å, intensity 18
- 1.128 Å, intensity 17

Crystal structure
Cell lengths 5.045, 5.045, 5.045 Å; angles 90.00, 90.00, 90.00 degrees
Fractional positions:
Pm  0.000  0.000  0.000
Dy  0.000  0.500  0.500
Dy  0.500  0.000  0.500
Dy  0.500  0.500  0.000